# HAuO2
Calculated X-ray diffraction stick pattern, Cu Kα X-rays. Input: the GGA-PBE geometry in the Materials Project.

Structure:
Lattice parameters (Å, degrees): 4.153 4.721 5.493 92.61 90.44 114.99
Atoms (fractional coordinates):
H 0.073 0.019 0.251
H 0.927 0.981 0.749
Au 0.000 0.500 0.500
Au 0.500 0.500 0.000
O 0.047 0.277 0.795
O 0.242 0.280 0.297
O 0.758 0.720 0.703
O 0.953 0.723 0.205

Top 10 peaks for 2θ = 5–70°, low angle first:
2θ (°)	I/Imax
20.8	100
28.4	38
28.8	36
29.2	46
29.3	46
32.7	23
38.0	25
42.3	30
42.8	18
55.7	16

# HAuO2
Calculated X-ray diffraction stick pattern, Cu Kα X-rays. Input: the GGA-PBE geometry in the Materials Project.

Structure:
Lattice parameters (Å, degrees): 7.849 3.107 4.532 90.00 97.60 90.00
Atoms (fractional coordinates):
H 0.000 0.000 0.000
H 0.500 0.500 0.000
Au 0.000 0.500 0.500
Au 0.500 0.000 0.500
O 0.072 0.000 0.254
O 0.428 0.500 0.746
O 0.572 0.500 0.254
O 0.928 0.000 0.746

Top 10 peaks for 2θ = 5–70°, low angle first:
2θ (°)	I/Imax
19.8	100
22.9	91
28.3	31
31.0	48
32.4	39
36.2	53
37.9	35
45.6	22
48.1	27
50.2	23

# HAuO2
Calculated X-ray diffraction stick pattern, Cu Kα X-rays. Input: the GGA-PBE geometry in the Materials Project.

Structure:
Lattice parameters (Å, degrees): 3.103 7.353 4.576 90.00 90.00 90.00
Atoms (fractional coordinates):
H 0.000 0.245 0.000
H 0.500 0.755 0.500
Au 0.000 0.743 0.968
Au 0.500 0.257 0.468
O 0.000 0.174 0.207
O 0.000 0.332 0.726
O 0.500 0.668 0.226
O 0.500 0.826 0.707

Top 10 peaks for 2θ = 5–70°, low angle first:
2θ (°)	I/Imax
22.9	100
24.2	56
31.3	35
34.9	38
41.8	22
43.0	42
46.8	14
47.3	15
51.1	31
62.1	21

# Hf7Au10
Calculated X-ray diffraction stick pattern, Cu Kα X-rays. Input: the GGA-PBE geometry in the Materials Project.

Structure:
Lattice parameters (Å, degrees): 8.324 8.324 9.897 90.00 90.00 72.83
Atoms (fractional coordinates):
Hf 0.000 0.000 0.000
Hf 0.007 0.493 0.250
Hf 0.187 0.813 0.689
Hf 0.190 0.190 0.500
Hf 0.310 0.310 0.000
Hf 0.313 0.687 0.189
Hf 0.493 0.007 0.750
Hf 0.500 0.500 0.500
Hf 0.507 0.993 0.250
Hf 0.687 0.313 0.811
Hf 0.690 0.690 0.000
Hf 0.810 0.810 0.500
Hf 0.813 0.187 0.311
Hf 0.993 0.507 0.750
Au 0.059 0.647 0.000
Au 0.105 0.895 0.398
Au 0.142 0.150 0.792
Au 0.147 0.559 0.500
Au 0.150 0.142 0.208
Au 0.350 0.358 0.708
Au 0.353 0.941 0.000
Au 0.358 0.350 0.292
Au 0.395 0.605 0.898
Au 0.441 0.853 0.500
Au 0.559 0.147 0.500
Au 0.605 0.395 0.102
Au 0.642 0.650 0.708
Au 0.647 0.059 0.000
Au 0.650 0.642 0.292
Au 0.850 0.858 0.792
Au 0.853 0.441 0.500
Au 0.858 0.850 0.208
Au 0.895 0.105 0.602
Au 0.941 0.353 0.000

Top 10 peaks for 2θ = 5–70°, low angle first:
2θ (°)	I/Imax
35.0	73
36.3	42
37.2	100
38.8	28
39.2	24
40.4	21
43.8	25
47.4	19
52.3	19
68.9	21

# HfAu2
Calculated X-ray diffraction stick pattern, Cu Kα X-rays. Input: the GGA-PBE geometry in the Materials Project.

Structure:
Lattice parameters (Å, degrees): 3.574 3.574 8.829 90.00 90.00 90.00
Atoms (fractional coordinates):
Hf 0.000 0.000 0.000
Hf 0.500 0.500 0.500
Au 0.000 0.000 0.333
Au 0.000 0.000 0.667
Au 0.500 0.500 0.167
Au 0.500 0.500 0.833

Top 5 peaks for 2θ = 5–70°, low angle first:
2θ (°)	I/Imax
35.5	67
39.7	100
51.1	24
63.2	6
66.6	44

# Hf3Au
Calculated X-ray diffraction stick pattern, Cu Kα X-rays. Input: the GGA-PBE geometry in the Materials Project.

Structure:
Lattice parameters (Å, degrees): 4.351 4.351 4.351 90.00 90.00 90.00
Atoms (fractional coordinates):
Hf 0.000 0.000 0.500
Hf 0.000 0.500 0.000
Hf 0.500 0.000 0.000
Au 0.500 0.500 0.500

Top 3 peaks for 2θ = 5–70°, low angle first:
2θ (°)	I/Imax
35.7	100
41.5	50
60.2	34

# HfAu
Calculated X-ray diffraction stick pattern, Cu Kα X-rays. Input: the GGA-PBE geometry in the Materials Project.

Structure:
Lattice parameters (Å, degrees): 3.508 3.508 6.390 90.00 90.00 90.00
Atoms (fractional coordinates):
Hf 0.250 0.250 0.147
Hf 0.750 0.750 0.853
Au 0.250 0.250 0.629
Au 0.750 0.750 0.371

Top 10 peaks for 2θ = 5–70°, low angle first:
2θ (°)	I/Imax
13.9	2
27.9	1
36.2	59
38.1	100
46.3	1
50.1	1
52.2	21
57.7	7
64.1	2
66.4	40